No. 1
La3NdCu2O8: computed XRD peak list (Cu Kα), based on the PBE geometry in Alexandria.

The 10 most intense peaks (5° ≤ 2θ ≤ 70°), by angle:
2θ 23.32, I 16.5; 2θ 30.88, I 100.0; 2θ 31.60, I 33.0; 2θ 42.99, I 17.8; 2θ 43.16, I 7.5; 2θ 45.30, I 26.0; 2θ 54.47, I 14.9; 2θ 55.83, I 36.7; 2θ 64.35, I 8.9; 2θ 65.99, I 7.9

Cell: 4.0039 4.0039 12.5761 Å, 90.00 90.00 90.00°
Fractional coordinates of all 14 atoms:
La1 0.0000 0.0000 0.0000
La2 0.0000 0.0000 0.3005
La3 0.5000 0.5000 0.5041
Nd1 0.5000 0.5000 0.8007
Cu1 0.0000 0.0000 0.6559
Cu2 0.5000 0.5000 0.1508
O1 0.0000 0.5000 0.1508
O2 0.0000 0.5000 0.4025
O3 0.0000 0.5000 0.6550
O4 0.0000 0.5000 0.8988
O5 0.5000 0.0000 0.1508
O6 0.5000 0.0000 0.4025
O7 0.5000 0.0000 0.6550
O8 0.5000 0.0000 0.8988

No. 2
Ba6Ag2RhI: computed XRD peak list (Cu Kα), based on the PBE geometry in Alexandria.

The 10 most intense peaks (5° ≤ 2θ ≤ 70°), by angle:
2θ 23.65, I 50.2; 2θ 23.92, I 53.6; 2θ 24.24, I 71.3; 2θ 25.40, I 78.9; 2θ 26.47, I 56.5; 2θ 27.11, I 100.0; 2θ 31.26, I 72.9; 2θ 32.02, I 48.7; 2θ 35.71, I 52.6; 2θ 36.96, I 79.0

Cell: 8.1496 9.1704 14.1820 Å, 90.00 122.05 90.00°
Fractional coordinates of all 20 atoms:
Ba1 0.0737 0.0550 0.2329
Ba2 0.0737 0.4450 0.7329
Ba3 0.2206 0.7045 0.0772
Ba4 0.2206 0.7955 0.5772
Ba5 0.3776 0.1579 0.0666
Ba6 0.3776 0.3421 0.5666
Ba7 0.6224 0.6579 0.4334
Ba8 0.6224 0.8421 0.9334
Ba9 0.7794 0.2045 0.4228
Ba10 0.7794 0.2955 0.9228
Ba11 0.9263 0.5550 0.2671
Ba12 0.9263 0.9450 0.7671
Ag1 0.3046 0.1127 0.7526
Ag2 0.3046 0.3873 0.2526
Ag3 0.6954 0.6127 0.7474
Ag4 0.6954 0.8873 0.2474
Rh1 0.0000 0.0000 0.0000
Rh2 0.0000 0.5000 0.5000
I1 0.5000 0.0000 0.5000
I2 0.5000 0.5000 0.0000

No. 3
Ac2PrCd6: computed XRD peak list (Cu Kα), based on the PBE geometry in Alexandria.

The 10 most intense peaks (5° ≤ 2θ ≤ 70°), by angle:
2θ 11.48, I 2.2; 2θ 19.95, I 9.2; 2θ 31.06, I 100.0; 2θ 34.91, I 68.9; 2θ 47.42, I 30.9; 2θ 48.21, I 9.2; 2θ 52.67, I 1.7; 2θ 60.22, I 30.0; 2θ 60.90, I 26.9; 2θ 62.61, I 12.3

Cell: 8.9023 8.9023 3.7750 Å, 90.00 90.00 120.00°
Fractional coordinates of all 9 atoms:
Ac1 0.3333 0.6667 0.0000
Ac2 0.6667 0.3333 0.0000
Pr1 0.0000 0.0000 0.0000
Cd1 0.0000 0.3284 0.5000
Cd2 0.0000 0.6716 0.5000
Cd3 0.3284 0.0000 0.5000
Cd4 0.3284 0.3284 0.5000
Cd5 0.6716 0.0000 0.5000
Cd6 0.6716 0.6716 0.5000

No. 4
Ir5Pt3: computed XRD peak list (Cu Kα), based on the PBE geometry in Alexandria.

The 10 most intense peaks (5° ≤ 2θ ≤ 70°), by angle:
2θ 35.25, I 39.3; 2θ 37.83, I 52.0; 2θ 40.09, I 28.9; 2θ 40.85, I 61.5; 2θ 41.21, I 20.8; 2θ 41.93, I 100.0; 2θ 42.79, I 39.8; 2θ 44.16, I 41.1; 2θ 46.02, I 19.4; 2θ 46.42, I 18.6

Cell: 7.2795 7.2795 7.7474 Å, 93.74 93.74 141.04°
Fractional coordinates of all 16 atoms:
Ir1 0.1227 0.8205 0.8252
Ir2 0.1795 0.8773 0.1748
Ir3 0.2800 0.2800 0.0672
Ir4 0.3060 0.5214 0.6681
Ir5 0.4786 0.6940 0.3319
Ir6 0.5214 0.3060 0.6681
Ir7 0.6940 0.4786 0.3319
Ir8 0.7200 0.7200 0.9328
Ir9 0.8205 0.1227 0.8252
Ir10 0.8773 0.1795 0.1748
Pt1 0.1511 0.1511 0.3846
Pt2 0.2201 0.7799 0.5000
Pt3 0.3211 0.6789 0.0000
Pt4 0.6789 0.3211 0.0000
Pt5 0.7799 0.2201 0.5000
Pt6 0.8489 0.8489 0.6154